Diffraction record for BP. The powder XRD pattern is theoretical, not measured: it uses a structure optimized by DFT (PBE) and λ = 1.5418 Å (Cu Kα).
Intensities are scaled so that the largest is 100.

Most intense lines, 10° ≤ 2θ ≤ 80°, in order of rising 2θ:
32.3°, rel. 56; 33.8°, rel. 43; 36.6°, rel. 100; 47.5°, rel. 22; 57.6°, rel. 35; 62.3°, rel. 37; 67.6°, rel. 5; 68.5°, rel. 29; 70.2°, rel. 14; 77.8°, rel. 5

Atomic structure:
Cell lengths 3.200, 3.200, 5.298 Å; angles 90.00, 90.00, 120.00 degrees
Element x y z (fractional)
B  0.333  0.667  0.000
B  0.667  0.333  0.500
P  0.333  0.667  0.374
P  0.667  0.333  0.874

=====

Diffraction record for BPb3. The powder XRD pattern is theoretical, not measured: it uses a structure optimized by DFT (PBE) and λ = 1.5418 Å (Cu Kα).
Intensities are scaled so that the largest is 100.

Most intense lines, 10° ≤ 2θ ≤ 80°, in order of rising 2θ:
21.8°, rel. 36; 27.5°, rel. 12; 30.3°, rel. 33; 31.8°, rel. 22; 35.4°, rel. 100; 44.5°, rel. 18; 56.7°, rel. 12; 57.2°, rel. 26; 65.6°, rel. 15; 68.7°, rel. 10

Atomic structure:
Cell lengths 6.479, 11.261, 5.900 Å; angles 90.00, 90.00, 90.00 degrees
Element x y z (fractional)
B  0.000  0.167  0.250
B  0.000  0.833  0.750
B  0.500  0.333  0.750
B  0.500  0.667  0.250
Pb  0.000  0.330  0.750
Pb  0.000  0.670  0.250
Pb  0.245  0.085  0.750
Pb  0.245  0.915  0.250
Pb  0.255  0.415  0.250
Pb  0.255  0.585  0.750
Pb  0.500  0.170  0.250
Pb  0.500  0.830  0.750
Pb  0.745  0.415  0.250
Pb  0.745  0.585  0.750
Pb  0.755  0.085  0.750
Pb  0.755  0.915  0.250

=====

Diffraction record for BSbPbS4. The powder XRD pattern is theoretical, not measured: it uses a structure optimized by DFT (PBE) and λ = 1.5418 Å (Cu Kα).
Intensities are scaled so that the largest is 100.

Most intense lines, 10° ≤ 2θ ≤ 80°, in order of rising 2θ:
20.7°, rel. 100; 24.2°, rel. 23; 28.3°, rel. 29; 28.5°, rel. 24; 29.4°, rel. 18; 30.7°, rel. 18; 33.9°, rel. 20; 35.5°, rel. 26; 42.2°, rel. 18; 52.3°, rel. 15

Atomic structure:
Cell lengths 6.180, 6.266, 9.572 Å; angles 90.00, 107.99, 90.00 degrees
Element x y z (fractional)
B  0.169  0.000  0.199
B  0.831  0.500  0.801
Sb  0.310  0.500  0.166
Sb  0.690  0.000  0.834
Pb  0.271  0.552  0.562
Pb  0.729  0.052  0.438
S  0.022  0.245  0.215
S  0.024  0.755  0.218
S  0.406  0.993  0.585
S  0.434  0.998  0.156
S  0.566  0.498  0.844
S  0.594  0.493  0.415
S  0.976  0.255  0.782
S  0.978  0.745  0.785

=====

Diffraction record for Sc3BPb. The powder XRD pattern is theoretical, not measured: it uses a structure optimized by DFT (PBE) and λ = 1.5418 Å (Cu Kα).
Intensities are scaled so that the largest is 100.

Most intense lines, 10° ≤ 2θ ≤ 80°, in order of rising 2θ:
18.9°, rel. 56; 26.9°, rel. 65; 33.1°, rel. 100; 38.4°, rel. 55; 43.1°, rel. 32; 47.5°, rel. 29; 55.4°, rel. 36; 59.1°, rel. 17; 66.1°, rel. 39; 75.9°, rel. 16

Atomic structure:
Cell lengths 4.689, 4.689, 4.689 Å; angles 90.00, 90.00, 90.00 degrees
Element x y z (fractional)
Sc  0.000  0.000  0.500
Sc  0.000  0.500  0.000
Sc  0.500  0.000  0.000
B  0.000  0.000  0.000
Pb  0.500  0.500  0.500

=====

Diffraction record for BPd2. The powder XRD pattern is theoretical, not measured: it uses a structure optimized by DFT (PBE) and λ = 1.5418 Å (Cu Kα).
Intensities are scaled so that the largest is 100.

Most intense lines, 10° ≤ 2θ ≤ 80°, in order of rising 2θ:
33.2°, rel. 29; 37.7°, rel. 35; 38.3°, rel. 100; 39.6°, rel. 57; 51.1°, rel. 22; 58.4°, rel. 11; 61.2°, rel. 18; 68.5°, rel. 17; 72.9°, rel. 18; 74.2°, rel. 18

Atomic structure:
Cell lengths 4.772, 5.172, 3.160 Å; angles 90.00, 90.00, 90.00 degrees
Element x y z (fractional)
B  0.000  0.000  0.000
B  0.500  0.500  0.500
Pd  0.246  0.156  0.500
Pd  0.254  0.656  0.000
Pd  0.746  0.344  0.000
Pd  0.754  0.844  0.500

=====

Diffraction record for BPd6. The powder XRD pattern is theoretical, not measured: it uses a structure optimized by DFT (PBE) and λ = 1.5418 Å (Cu Kα).
Intensities are scaled so that the largest is 100.

Most intense lines, 10° ≤ 2θ ≤ 80°, in order of rising 2θ:
38.3°, rel. 100; 44.5°, rel. 51; 64.7°, rel. 32; 77.7°, rel. 18; 77.8°, rel. 18

Atomic structure:
Cell lengths 4.988, 4.988, 9.562 Å; angles 94.97, 94.97, 119.96 degrees
Element x y z (fractional)
B  0.083  0.917  0.750
B  0.917  0.083  0.250
Pd  0.041  0.213  0.623
Pd  0.126  0.620  0.878
Pd  0.213  0.041  0.123
Pd  0.299  0.465  0.378
Pd  0.380  0.874  0.622
Pd  0.465  0.299  0.878
Pd  0.535  0.701  0.122
Pd  0.620  0.126  0.378
Pd  0.701  0.535  0.622
Pd  0.787  0.959  0.877
Pd  0.874  0.380  0.122
Pd  0.959  0.787  0.377

=====

Diffraction record for BPd4. The powder XRD pattern is theoretical, not measured: it uses a structure optimized by DFT (PBE) and λ = 1.5418 Å (Cu Kα).
Intensities are scaled so that the largest is 100.

Most intense lines, 10° ≤ 2θ ≤ 80°, in order of rising 2θ:
34.6°, rel. 39; 37.0°, rel. 72; 40.5°, rel. 100; 41.4°, rel. 38; 55.0°, rel. 20; 56.9°, rel. 20; 72.8°, rel. 19; 74.8°, rel. 16; 76.7°, rel. 17; 79.5°, rel. 11

Atomic structure:
Cell lengths 2.892, 4.365, 5.856 Å; angles 90.00, 90.00, 90.00 degrees
Element x y z (fractional)
B  0.000  0.000  0.000
Pd  0.000  0.000  0.334
Pd  0.000  0.500  0.004
Pd  0.500  0.000  0.756
Pd  0.500  0.500  0.466

=====

Diffraction record for BPd6. The powder XRD pattern is theoretical, not measured: it uses a structure optimized by DFT (PBE) and λ = 1.5418 Å (Cu Kα).
Intensities are scaled so that the largest is 100.

Most intense lines, 10° ≤ 2θ ≤ 80°, in order of rising 2θ:
38.0°, rel. 99; 38.4°, rel. 97; 44.4°, rel. 100; 64.2°, rel. 11; 64.6°, rel. 42; 65.1°, rel. 10; 77.3°, rel. 24; 77.4°, rel. 12; 77.6°, rel. 12; 77.9°, rel. 23

Atomic structure:
Cell lengths 9.521, 9.077, 5.010 Å; angles 79.33, 69.53, 31.14 degrees
Element x y z (fractional)
B  0.125  0.125  0.125
B  0.875  0.875  0.875
Pd  0.046  0.535  0.703
Pd  0.130  0.620  0.130
Pd  0.216  0.703  0.535
Pd  0.297  0.784  0.954
Pd  0.380  0.870  0.380
Pd  0.465  0.954  0.784
Pd  0.535  0.046  0.216
Pd  0.620  0.130  0.620
Pd  0.703  0.216  0.046
Pd  0.784  0.297  0.465
Pd  0.870  0.380  0.870
Pd  0.954  0.465  0.297

=====

Diffraction record for ScBPd3. The powder XRD pattern is theoretical, not measured: it uses a structure optimized by DFT (PBE) and λ = 1.5418 Å (Cu Kα).
Intensities are scaled so that the largest is 100.

Most intense lines, 10° ≤ 2θ ≤ 80°, in order of rising 2θ:
21.0°, rel. 13; 29.8°, rel. 6; 36.8°, rel. 100; 42.7°, rel. 53; 48.0°, rel. 6; 53.0°, rel. 3; 62.0°, rel. 34; 66.2°, rel. 3; 74.3°, rel. 36; 78.2°, rel. 11

Atomic structure:
Cell lengths 4.235, 4.235, 4.235 Å; angles 90.00, 90.00, 90.00 degrees
Element x y z (fractional)
Sc  0.000  0.000  0.000
B  0.500  0.500  0.500
Pd  0.000  0.500  0.500
Pd  0.500  0.000  0.500
Pd  0.500  0.500  0.000

=====

Diffraction record for SmBPd3. The powder XRD pattern is theoretical, not measured: it uses a structure optimized by DFT (PBE) and λ = 1.5418 Å (Cu Kα).
Intensities are scaled so that the largest is 100.

Most intense lines, 10° ≤ 2θ ≤ 80°, in order of rising 2θ:
20.4°, rel. 1; 29.0°, rel. 3; 35.7°, rel. 100; 41.4°, rel. 53; 46.6°, rel. 1; 51.3°, rel. 1; 60.0°, rel. 35; 68.0°, rel. 1; 71.8°, rel. 38; 75.5°, rel. 12

Atomic structure:
Cell lengths 4.360, 4.360, 4.360 Å; angles 90.00, 90.00, 90.00 degrees
Element x y z (fractional)
Sm  0.000  0.000  0.000
B  0.500  0.500  0.500
Pd  0.000  0.500  0.500
Pd  0.500  0.000  0.500
Pd  0.500  0.500  0.000

=====

Diffraction record for SrBPd4. The powder XRD pattern is theoretical, not measured: it uses a structure optimized by DFT (PBE) and λ = 1.5418 Å (Cu Kα).
Intensities are scaled so that the largest is 100.

Most intense lines, 10° ≤ 2θ ≤ 80°, in order of rising 2θ:
17.5°, rel. 29; 33.2°, rel. 46; 35.5°, rel. 20; 36.1°, rel. 54; 36.6°, rel. 48; 36.8°, rel. 92; 37.0°, rel. 32; 38.5°, rel. 100; 40.9°, rel. 44; 79.1°, rel. 20

Atomic structure:
Cell lengths 6.150, 5.580, 12.020 Å; angles 90.00, 90.00, 90.00 degrees
Element x y z (fractional)
Sr  0.188  0.250  0.160
Sr  0.312  0.750  0.660
Sr  0.688  0.250  0.340
Sr  0.812  0.750  0.840
B  0.098  0.250  0.552
B  0.402  0.750  0.052
B  0.598  0.250  0.948
B  0.902  0.750  0.448
Pd  0.063  0.750  0.059
Pd  0.113  0.250  0.733
Pd  0.165  0.503  0.414
Pd  0.165  0.997  0.414
Pd  0.335  0.003  0.914
Pd  0.335  0.497  0.914
Pd  0.387  0.750  0.233
Pd  0.437  0.250  0.559
Pd  0.563  0.750  0.441
Pd  0.613  0.250  0.767
Pd  0.665  0.503  0.086
Pd  0.665  0.997  0.086
Pd  0.835  0.003  0.586
Pd  0.835  0.497  0.586
Pd  0.887  0.750  0.267
Pd  0.937  0.250  0.941

=====

Diffraction record for TmBPd3. The powder XRD pattern is theoretical, not measured: it uses a structure optimized by DFT (PBE) and λ = 1.5418 Å (Cu Kα).
Intensities are scaled so that the largest is 100.

Most intense lines, 10° ≤ 2θ ≤ 80°, in order of rising 2θ:
20.7°, rel. 3; 29.4°, rel. 5; 36.2°, rel. 100; 42.1°, rel. 52; 47.3°, rel. 2; 52.1°, rel. 2; 61.0°, rel. 34; 69.1°, rel. 1; 73.0°, rel. 38; 76.8°, rel. 12

Atomic structure:
Cell lengths 4.297, 4.297, 4.297 Å; angles 90.00, 90.00, 90.00 degrees
Element x y z (fractional)
Tm  0.000  0.000  0.000
B  0.500  0.500  0.500
Pd  0.000  0.500  0.500
Pd  0.500  0.000  0.500
Pd  0.500  0.500  0.000

=====

Diffraction record for PmB3. The powder XRD pattern is theoretical, not measured: it uses a structure optimized by DFT (PBE) and λ = 1.5418 Å (Cu Kα).
Intensities are scaled so that the largest is 100.

Most intense lines, 10° ≤ 2θ ≤ 80°, in order of rising 2θ:
18.4°, rel. 38; 31.9°, rel. 100; 32.1°, rel. 69; 37.2°, rel. 13; 45.9°, rel. 45; 49.9°, rel. 12; 57.1°, rel. 46; 63.5°, rel. 19; 67.1°, rel. 8; 76.2°, rel. 20

Atomic structure:
Cell lengths 5.581, 5.581, 3.442 Å; angles 90.00, 90.00, 120.00 degrees
Element x y z (fractional)
Pm  0.333  0.667  0.250
Pm  0.667  0.333  0.750
B  0.107  0.214  0.750
B  0.107  0.893  0.750
B  0.214  0.107  0.250
B  0.786  0.893  0.750
B  0.893  0.107  0.250
B  0.893  0.786  0.250

=====

Diffraction record for PrBRh3. The powder XRD pattern is theoretical, not measured: it uses a structure optimized by DFT (PBE) and λ = 1.5418 Å (Cu Kα).
Intensities are scaled so that the largest is 100.

Most intense lines, 10° ≤ 2θ ≤ 80°, in order of rising 2θ:
20.8°, rel. 1; 29.5°, rel. 3; 36.4°, rel. 100; 42.3°, rel. 53; 47.5°, rel. 1; 52.4°, rel. 1; 61.3°, rel. 34; 73.4°, rel. 38; 77.3°, rel. 11

Atomic structure:
Cell lengths 4.277, 4.277, 4.277 Å; angles 90.00, 90.00, 90.00 degrees
Element x y z (fractional)
Pr  0.000  0.000  0.000
B  0.500  0.500  0.500
Rh  0.000  0.500  0.500
Rh  0.500  0.000  0.500
Rh  0.500  0.500  0.000